Entry 1:
NpCdTe2O8: computed powder XRD pattern (CuKα), based on a DFT-relaxed cell (PBE, Alexandria).
Lines closer than 0.1° are merged.

Structure:
Lattice parameters (Å, degrees): 7.2282 7.2282 5.2629 108.78 108.78 49.69
Element x y z (fractional)
Np: 0.0000 0.0000 0.0000
Cd: 0.5000 0.5000 0.5000
Te: 0.3030 0.3030 0.7819
Te: 0.6970 0.6970 0.2181
O: 0.0866 0.0866 0.7981
O: 0.1754 0.6236 0.7333
O: 0.3402 0.3402 0.1584
O: 0.3764 0.8246 0.2667
O: 0.6236 0.1754 0.7333
O: 0.6598 0.6598 0.8416
O: 0.8246 0.3764 0.2667
O: 0.9134 0.9134 0.2019

Most intense lines, 15 to 90 degrees two-theta, by angle:
d (Å)  2θ/deg  I (rel.)
4.747  18.69  13
3.393  26.26  100
3.280  27.19  51
3.037  29.41  30
2.628  34.11  14
2.158  41.87  11
2.045  44.28  11
1.987  45.65  16
1.815  50.27  21
1.696  54.06  15

=====

Entry 2:
Th6CoBr15: computed powder XRD pattern (CuKα), based on a DFT-relaxed cell (PBE, Alexandria).
Lines closer than 0.1° are merged.

Structure:
Lattice parameters (Å, degrees): 10.1666 10.1666 10.1666 109.47 109.47 109.47
Element x y z (fractional)
Th: 0.0000 0.2375 0.2375
Th: 0.0000 0.7625 0.7625
Th: 0.2375 0.0000 0.2375
Th: 0.2375 0.2375 0.0000
Th: 0.7625 0.0000 0.7625
Th: 0.7625 0.7625 0.0000
Co: 0.0000 0.0000 0.0000
Br: 0.0000 0.2497 0.7503
Br: 0.0000 0.5000 0.5000
Br: 0.0000 0.7503 0.2497
Br: 0.2497 0.0000 0.7503
Br: 0.2497 0.2497 0.4993
Br: 0.2497 0.4993 0.2497
Br: 0.2497 0.7503 0.0000
Br: 0.4993 0.2497 0.2497
Br: 0.5000 0.0000 0.5000
Br: 0.5000 0.5000 0.0000
Br: 0.5007 0.7503 0.7503
Br: 0.7503 0.0000 0.2497
Br: 0.7503 0.2497 0.0000
Br: 0.7503 0.5007 0.7503
Br: 0.7503 0.7503 0.5007

Most intense lines, 15 to 90 degrees two-theta, by angle:
d (Å)  2θ/deg  I (rel.)
4.793  18.51  30
4.150  21.41  14
3.137  28.45  39
2.935  30.46  100
2.503  35.88  17
2.302  39.13  19
2.075  43.61  73
1.694  54.13  25
1.313  71.94  32
1.198  80.10  24

=====

Entry 3:
Gd3Br2O6: computed powder XRD pattern (CuKα), based on a DFT-relaxed cell (PBE, Alexandria).
Lines closer than 0.1° are merged.

Structure:
Lattice parameters (Å, degrees): 13.7576 6.7242 4.3413 90.00 90.00 90.00
Element x y z (fractional)
Gd: 0.0000 0.2408 0.0000
Gd: 0.1449 0.9216 0.4431
Gd: 0.3551 0.0784 0.9431
Gd: 0.5000 0.7592 0.5000
Gd: 0.6449 0.0784 0.9431
Gd: 0.8551 0.9216 0.4431
Br: 0.1300 0.4925 0.4751
Br: 0.3700 0.5075 0.9751
Br: 0.6300 0.5075 0.9751
Br: 0.8700 0.4925 0.4751
O: 0.0000 0.1073 0.5129
O: 0.0000 0.9067 0.1401
O: 0.1667 0.1181 0.9589
O: 0.2010 0.9055 0.9485
O: 0.2990 0.0945 0.4485
O: 0.3333 0.8819 0.4589
O: 0.5000 0.0933 0.6401
O: 0.5000 0.8927 0.0129
O: 0.6667 0.8819 0.4589
O: 0.7010 0.0945 0.4485
O: 0.7990 0.9055 0.9485
O: 0.8333 0.1181 0.9589

Most intense lines, 15 to 90 degrees two-theta, by angle:
d (Å)  2θ/deg  I (rel.)
3.789  23.48  51
3.647  24.41  47
3.153  28.31  100
2.610  34.36  66
2.404  37.40  41
2.324  38.75  21
2.171  41.61  40
1.724  53.14  28
1.611  57.17  25
1.580  58.41  27